The following is a simulated PXRD pattern of MgCo4O8. It was derived from the PBE+U geometry in the Materials Project, using λ = 1.5418 Å (Cu Kα).

Structure:
```
MgCo4O8
1.0
4.0016 -4.1861 0.0000
4.0016 4.1861 0.0000
-3.9364 0.0000 4.2386
Mg Co O
1 4 8
Cartesian
0.0000 0.0000 0.0000
-0.8804 1.0051 3.1569
4.9472 1.0051 1.0817
1.0266 -1.0894 3.1967
3.0403 -1.0894 1.0419
3.0717 0.7644 0.9709
0.9952 0.7644 3.2677
1.1082 -1.1447 1.2333
-0.8022 -1.0619 3.3895
4.8690 -1.0619 0.8491
2.9186 -3.0093 1.1312
2.9587 -1.1447 3.0054
1.1483 -3.0093 3.1074
```

Main lines, in order of falling intensity (2θ = 15–90°):
| 2θ/deg | I/Imax |
| --- | --- |
| 18.47 | 100.0 |
| 18.67 | 72.5 |
| 42.66 | 33.8 |
| 43.22 | 32.4 |
| 45.33 | 28.0 |
| 62.35 | 23.2 |
| 64.43 | 20.9 |
| 35.73 | 20.6 |
| 35.19 | 19.9 |
| 37.08 | 18.4 |